For Hf4GaGe2, a DFT-relaxed cell (PBE, Alexandria) gives the theoretical powder diffractogram in this record (Cu Kα (weighted mean of Kα1 and Kα2)).

Cell and atoms:
Lattice parameters (Å, degrees): 13.132 3.692 6.806 90.00 118.62 90.00
Atoms (fractional coordinates):
Hf 0.115 0.000 0.251
Hf 0.120 0.500 0.848
Hf 0.380 0.000 0.152
Hf 0.385 0.500 0.749
Hf 0.615 0.500 0.251
Hf 0.620 0.000 0.848
Hf 0.880 0.500 0.152
Hf 0.885 0.000 0.749
Ga 0.000 0.000 0.500
Ga 0.500 0.500 0.500
Ge 0.230 0.000 0.713
Ge 0.270 0.500 0.287
Ge 0.730 0.500 0.713
Ge 0.770 0.000 0.287

Principal peaks in the range 2θ from 15° to 90°, low angle first:
2θ (°)  intensity
29.9  31.8
31.3  52.7
31.9  100.0
41.5  31.5
42.0  25.1
42.4  27.6
47.0  28.3
49.4  24.7